Calculated powder diffraction line list of Tb2Se2O7 for Cu Kα (weighted mean of Kα1 and Kα2), from a DFT-relaxed cell (GGA-PBE, Alexandria).
Lines closer than 0.1° are merged.

The 10 most intense peaks (2θ = 15–90°), in order of rising 2θ:
2theta	I/Imax
29.0	100.0
33.5	29.6
34.0	13.2
48.0	13.2
48.4	25.4
57.1	31.0
57.8	13.8
60.1	11.7
78.3	10.0
89.9	8.7

Crystal structure
Unit cell a=10.714 b=10.714 c=5.279 alpha=90.00 beta=90.00 gamma=90.00
Fractional positions:
Tb 0.128 0.628 0.000
Tb 0.128 0.872 0.500
Tb 0.372 0.628 0.500
Tb 0.372 0.872 0.000
Tb 0.628 0.128 0.000
Tb 0.628 0.372 0.500
Tb 0.872 0.128 0.500
Tb 0.872 0.372 0.000
Se 0.128 0.128 0.035
Se 0.128 0.372 0.535
Se 0.372 0.128 0.535
Se 0.372 0.372 0.035
Se 0.628 0.628 0.965
Se 0.628 0.872 0.465
Se 0.872 0.628 0.465
Se 0.872 0.872 0.965
O 0.003 0.681 0.630
O 0.003 0.819 0.130
O 0.064 0.064 0.308
O 0.064 0.436 0.808
O 0.181 0.503 0.370
O 0.181 0.997 0.870
O 0.250 0.750 0.250
O 0.250 0.750 0.750
O 0.319 0.503 0.870
O 0.319 0.997 0.370
O 0.436 0.064 0.808
O 0.436 0.436 0.308
O 0.497 0.681 0.130
O 0.497 0.819 0.630
O 0.503 0.181 0.370
O 0.503 0.319 0.870
O 0.564 0.564 0.692
O 0.564 0.936 0.192
O 0.681 0.003 0.630
O 0.681 0.497 0.130
O 0.750 0.250 0.250
O 0.750 0.250 0.750
O 0.819 0.003 0.130
O 0.819 0.497 0.630
O 0.936 0.564 0.192
O 0.936 0.936 0.692
O 0.997 0.181 0.870
O 0.997 0.319 0.370

***

Calculated powder diffraction line list of TbThSe2O for Cu Kα (weighted mean of Kα1 and Kα2), from a DFT-relaxed cell (GGA-PBE, Alexandria).
Lines closer than 0.1° are merged.

The 10 most intense peaks (2θ = 15–90°), in order of rising 2θ:
2theta	I/Imax
25.1	84.1
30.9	100.0
33.4	45.7
40.2	41.8
44.2	47.8
44.7	19.4
51.5	34.1
55.3	21.3
56.5	22.2
64.3	17.6

Crystal structure
Unit cell a=4.096 b=4.096 c=14.183 alpha=90.00 beta=90.00 gamma=90.00
Fractional positions:
Tb 0.250 0.250 0.074
Tb 0.750 0.750 0.926
Th 0.250 0.250 0.613
Th 0.750 0.750 0.387
Se 0.250 0.250 0.389
Se 0.250 0.250 0.809
Se 0.750 0.750 0.191
Se 0.750 0.750 0.611
O 0.250 0.750 0.000
O 0.750 0.250 0.000

***

Calculated powder diffraction line list of TcSeO4 for Cu Kα (weighted mean of Kα1 and Kα2), from a DFT-relaxed cell (GGA-PBE, Alexandria).
Lines closer than 0.1° are merged.

The 10 most intense peaks (2θ = 15–90°), in order of rising 2θ:
2theta	I/Imax
23.2	100.0
26.9	43.6
35.8	41.6
38.5	15.7
42.9	24.4
45.4	14.0
53.6	17.1
59.0	27.6
61.0	11.5
62.8	11.4

Crystal structure
Unit cell a=5.240 b=5.240 c=5.240 alpha=101.69 beta=101.69 gamma=126.50
Fractional positions:
Tc 0.000 0.000 0.000
Se 0.750 0.250 0.500
O 0.021 0.126 0.706
O 0.420 0.315 0.294
O 0.685 0.979 0.105
O 0.874 0.580 0.895

***

Calculated powder diffraction line list of TeSeO4 for Cu Kα (weighted mean of Kα1 and Kα2), from a DFT-relaxed cell (GGA-PBE, Alexandria).
Lines closer than 0.1° are merged.

The 10 most intense peaks (2θ = 15–90°), in order of rising 2θ:
2theta	I/Imax
20.9	95.2
26.0	91.3
27.4	100.0
27.5	70.2
28.7	65.3
33.6	36.1
42.9	43.8
46.8	39.8
53.5	33.1
58.0	33.8

Crystal structure
Unit cell a=7.663 b=7.663 c=7.663 alpha=126.87 beta=64.65 gamma=145.91
Fractional positions:
Te 0.141 0.250 0.391
Te 0.859 0.750 0.609
Se 0.121 0.495 0.126
Se 0.369 0.995 0.874
O 0.125 0.546 0.704
O 0.125 0.921 0.078
O 0.190 0.142 0.548
O 0.305 0.061 0.744
O 0.317 0.561 0.256
O 0.594 0.642 0.452
O 0.843 0.046 0.922
O 0.843 0.421 0.296

***

Calculated powder diffraction line list of TeSeO for Cu Kα (weighted mean of Kα1 and Kα2), from a DFT-relaxed cell (GGA-PBE, Alexandria).
Lines closer than 0.1° are merged.

The 10 most intense peaks (2θ = 15–90°), in order of rising 2θ:
2theta	I/Imax
22.8	100.0
29.3	56.1
31.2	45.8
31.9	96.5
33.0	34.6
45.2	44.4
49.1	44.9
52.8	28.9
54.1	33.7
75.4	23.4

Crystal structure
Unit cell a=3.768 b=8.416 c=4.411 alpha=90.00 beta=90.00 gamma=90.00
Fractional positions:
Te 0.000 0.154 0.000
Te 0.500 0.846 0.500
Se 0.000 0.662 0.741
Se 0.500 0.338 0.241
O 0.000 0.012 0.343
O 0.500 0.988 0.843

***

Calculated powder diffraction line list of ThSe2O7 for Cu Kα (weighted mean of Kα1 and Kα2), from a DFT-relaxed cell (GGA-PBE, Alexandria).
Lines closer than 0.1° are merged.

The 10 most intense peaks (2θ = 15–90°), in order of rising 2θ:
2theta	I/Imax
16.9	50.4
18.4	55.9
23.3	75.8
25.6	48.2
26.1	70.6
26.9	100.0
28.0	71.3
30.6	51.2
31.2	63.9
31.4	52.5

Crystal structure
Unit cell a=7.153 b=9.663 c=9.191 alpha=90.00 beta=103.57 gamma=90.00
Fractional positions:
Th 0.206 0.039 0.366
Th 0.206 0.461 0.866
Th 0.794 0.539 0.134
Th 0.794 0.961 0.634
Se 0.120 0.682 0.518
Se 0.120 0.818 0.018
Se 0.329 0.098 0.747
Se 0.329 0.402 0.247
Se 0.671 0.598 0.753
Se 0.671 0.902 0.253
Se 0.880 0.182 0.982
Se 0.880 0.318 0.482
O 0.048 0.583 0.367
O 0.048 0.917 0.867
O 0.061 0.236 0.909
O 0.061 0.264 0.409
O 0.105 0.058 0.626
O 0.105 0.442 0.126
O 0.253 0.690 0.975
O 0.253 0.810 0.475
O 0.269 0.590 0.651
O 0.269 0.910 0.151
O 0.334 0.225 0.255
O 0.334 0.275 0.755
O 0.448 0.064 0.605
O 0.448 0.436 0.105
O 0.552 0.564 0.895
O 0.552 0.936 0.395
O 0.666 0.725 0.245
O 0.666 0.775 0.745
O 0.731 0.090 0.849
O 0.731 0.410 0.349
O 0.747 0.190 0.525
O 0.747 0.310 0.025
O 0.895 0.558 0.874
O 0.895 0.942 0.374
O 0.939 0.736 0.591
O 0.939 0.764 0.091
O 0.952 0.083 0.133
O 0.952 0.417 0.633

***

Calculated powder diffraction line list of TmThSe2O for Cu Kα (weighted mean of Kα1 and Kα2), from a DFT-relaxed cell (GGA-PBE, Alexandria).
Lines closer than 0.1° are merged.

The 10 most intense peaks (2θ = 15–90°), in order of rising 2θ:
2theta	I/Imax
25.9	98.3
32.0	100.0
34.5	61.4
41.6	46.7
45.8	49.8
51.5	21.7
53.4	19.4
53.4	19.3
58.6	39.2
77.3	24.1

Crystal structure
Unit cell a=3.961 b=3.961 c=13.750 alpha=90.00 beta=90.00 gamma=90.00
Fractional positions:
Tm 0.250 0.250 0.091
Tm 0.750 0.750 0.909
Th 0.250 0.250 0.600
Th 0.750 0.750 0.400
Se 0.250 0.250 0.304
Se 0.250 0.250 0.882
Se 0.750 0.750 0.118
Se 0.750 0.750 0.696
O 0.250 0.750 0.500
O 0.750 0.250 0.500